# PaCrGa2O8
Simulated XRD peak list, Cu Kα (λ = 1.5418 Å). Input: a DFT-relaxed cell (GGA+U, Alexandria).
Neutral-atom scattering factors, no anomalous dispersion.

Cell and atoms:
```
data_PaCrGa2O8
_space_group_name_H-M_alt 'I -4 m 2'
_space_group_IT_number 119
_space_group_name_Hall 'I -4 -2'
_cell_length_a 6.6024
_cell_length_b 6.6024
_cell_length_c 6.8197
_cell_angle_alpha 90.00
_cell_angle_beta 90.00
_cell_angle_gamma 90.00
loop_
_atom_site_label
_atom_site_fract_x
_atom_site_fract_y
_atom_site_fract_z
_atom_site_occupancy
Pa1 0.0000 0.0000 0.0000 1
Cr1 0.0000 0.5000 0.7500 1
Ga1 0.0000 0.0000 0.5000 1
Ga2 0.0000 0.5000 0.2500 1
O1 0.0000 0.2034 0.6971 1
O2 0.0000 0.3138 0.0541 1
```

Principal peaks in the range 10° ≤ 2θ ≤ 90°, in order of falling intensity:
2θ/deg, I_rel, hkl
27.01, 100, 2 0 0
32.52, 96, 1 1 2
51.31, 70, 3 1 2
18.71, 59, 1 0 1
19.01, 30, 1 1 0
33.06, 21, 2 1 1
38.57, 21, 2 2 0
65.99, 20, 3 3 2
61.18, 19, 2 0 4
55.69, 16, 4 0 0